Record 1
Tb3PrHg4: computed XRD peak list (Cu Kα X-rays), based on a GGA-PBE-relaxed structure.

Structure:
Cell: 5.3014 5.3014 7.6257 Å, 90.00 90.00 90.00°
Fractional coordinates of all 8 atoms:
Tb 0.0000 0.0000 0.0000
Tb 0.0000 0.0000 0.5000
Tb 0.5000 0.5000 0.0000
Pr 0.5000 0.5000 0.5000
Hg 0.0000 0.5000 0.2392
Hg 0.0000 0.5000 0.7608
Hg 0.5000 0.0000 0.2392
Hg 0.5000 0.0000 0.7608

Peak list (12 most intense, 10 to 90 degrees two-theta, by angle)
23.74°, rel. 2; 33.52°, rel. 100; 33.82°, rel. 49; 47.70°, rel. 9; 48.57°, rel. 18; 59.75°, rel. 19; 60.31°, rel. 38; 70.45°, rel. 12; 71.14°, rel. 6; 79.66°, rel. 8; 80.97°, rel. 8; 81.13°, rel. 8

***

Record 2
CsGa2PdBr8: computed XRD peak list (Cu Kα X-rays), based on a GGA-PBE-relaxed structure.

Structure:
Cell: 6.9176 6.9176 10.0426 Å, 90.00 90.00 120.00°
Fractional coordinates of all 12 atoms:
Cs 0.0000 0.0000 0.0000
Ga 0.3333 0.6667 0.7365
Ga 0.6667 0.3333 0.2635
Pd 0.0000 0.0000 0.5000
Br 0.0126 0.3295 0.6657
Br 0.3170 0.9874 0.6657
Br 0.3295 0.3170 0.3343
Br 0.3333 0.6667 0.9730
Br 0.6667 0.3333 0.0270
Br 0.6705 0.6830 0.6657
Br 0.6830 0.0126 0.3343
Br 0.9874 0.6705 0.3343

Peak list (12 most intense, 10 to 90 degrees two-theta, by angle)
17.24°, rel. 44; 23.11°, rel. 34; 25.76°, rel. 24; 26.63°, rel. 39; 27.27°, rel. 100; 31.41°, rel. 85; 34.88°, rel. 16; 44.60°, rel. 61; 45.42°, rel. 58; 53.43°, rel. 31; 65.54°, rel. 19; 83.34°, rel. 19

***

Record 3
ZnFe3C: computed XRD peak list (Cu Kα X-rays), based on a GGA-PBE-relaxed structure.

Structure:
Cell: 9.0714 2.7512 8.6720 Å, 90.00 90.00 90.00°
Fractional coordinates of all 20 atoms:
Zn 0.1304 0.2500 0.0013
Zn 0.3696 0.7500 0.5013
Zn 0.6304 0.2500 0.4987
Zn 0.8696 0.7500 0.9987
Fe 0.0496 0.7500 0.7528
Fe 0.1217 0.2500 0.4943
Fe 0.2169 0.7500 0.2411
Fe 0.2831 0.2500 0.7411
Fe 0.3783 0.7500 0.9943
Fe 0.4504 0.2500 0.2528
Fe 0.5496 0.7500 0.7472
Fe 0.6217 0.2500 0.0057
Fe 0.7169 0.7500 0.2589
Fe 0.7831 0.2500 0.7589
Fe 0.8783 0.7500 0.5057
Fe 0.9504 0.2500 0.2472
C 0.0427 0.7500 0.3622
C 0.4573 0.2500 0.8622
C 0.5427 0.7500 0.1378
C 0.9573 0.2500 0.6378

Peak list (12 most intense, 10 to 90 degrees two-theta, by angle)
39.71°, rel. 38; 41.14°, rel. 14; 41.66°, rel. 46; 43.78°, rel. 100; 45.12°, rel. 45; 49.99°, rel. 20; 68.17°, rel. 11; 71.16°, rel. 18; 77.51°, rel. 16; 83.17°, rel. 11; 85.55°, rel. 12; 85.98°, rel. 18

***

Record 4
YAlPb2: computed XRD peak list (Cu Kα X-rays), based on a GGA-PBE-relaxed structure.

Structure:
Cell: 5.9206 5.9206 5.9206 Å, 134.22 134.22 66.74°
Fractional coordinates of all 4 atoms:
Y 0.0000 0.0000 0.0000
Al 0.5000 0.5000 0.0000
Pb 0.2500 0.7500 0.5000
Pb 0.7500 0.2500 0.5000

Peak list (12 most intense, 10 to 90 degrees two-theta, by angle)
17.94°, rel. 31; 27.39°, rel. 24; 32.93°, rel. 100; 36.34°, rel. 19; 39.12°, rel. 31; 43.35°, rel. 15; 46.10°, rel. 13; 54.45°, rel. 24; 63.23°, rel. 16; 66.99°, rel. 26; 69.07°, rel. 12; 89.88°, rel. 13

***

Record 5
Ho2Sc4Si3O2: computed XRD peak list (Cu Kα X-rays), based on a GGA-PBE-relaxed structure.

Structure:
Cell: 11.7363 11.7363 11.7363 Å, 159.13 159.13 29.69°
Fractional coordinates of all 11 atoms:
Ho 0.1956 0.1956 0.0000
Ho 0.8044 0.8044 0.0000
Sc 0.0788 0.5788 0.5000
Sc 0.4212 0.9212 0.5000
Sc 0.5788 0.0788 0.5000
Sc 0.9212 0.4212 0.5000
Si 0.3285 0.3285 0.0000
Si 0.5000 0.5000 0.0000
Si 0.6715 0.6715 0.0000
O 0.0906 0.0906 0.0000
O 0.9094 0.9094 0.0000

Peak list (12 most intense, 10 to 90 degrees two-theta, by angle)
24.01°, rel. 100; 28.77°, rel. 49; 29.72°, rel. 32; 30.77°, rel. 97; 31.54°, rel. 38; 34.80°, rel. 50; 38.24°, rel. 67; 42.52°, rel. 66; 49.42°, rel. 29; 52.16°, rel. 21; 53.90°, rel. 32; 56.08°, rel. 25

***

Record 6
ZrCrSi: computed XRD peak list (Cu Kα X-rays), based on a GGA-PBE-relaxed structure.

Structure:
Cell: 6.1728 6.1728 6.1728 Å, 148.10 129.44 61.03°
Fractional coordinates of all 6 atoms:
Zr 0.1909 0.1909 0.0000
Zr 0.8091 0.8091 0.0000
Cr 0.2281 0.5000 0.7281
Cr 0.7719 0.5000 0.2719
Si 0.3894 0.8894 0.5000
Si 0.6106 0.1106 0.5000

Peak list (12 most intense, 10 to 90 degrees two-theta, by angle)
30.38°, rel. 28; 31.36°, rel. 22; 35.72°, rel. 62; 36.66°, rel. 100; 38.10°, rel. 52; 44.35°, rel. 57; 46.01°, rel. 34; 54.06°, rel. 21; 62.42°, rel. 22; 68.05°, rel. 17; 73.66°, rel. 16; 83.23°, rel. 15

***

> What is the formula in the fifth record?

Ho2Sc4Si3O2